(1)
Diffraction record for Pr3TiSb5. The PXRD pattern is simulated, not measured: it uses a cell relaxed with GGA-PBE and Cu Kα.

Structural model:
```
data_Pr3TiSb5
_chemical_formula_sum 'Pr6 Ti2 Sb10'
_cell_length_a 9.4715
_cell_length_b 9.4715
_cell_length_c 6.3091
_cell_angle_alpha 90.00
_cell_angle_beta 90.00
_cell_angle_gamma 120.00
_space_group_name_H-M_alt 'P 1'
_space_group_IT_number 1
_space_group_name_Hall 'P 1'
loop_
_atom_site_label
_atom_site_type_symbol
_atom_site_fract_x
_atom_site_fract_y
_atom_site_fract_z
Pr1 Pr 0.0000 0.3825 0.2500
Pr2 Pr 0.0000 0.6175 0.7500
Pr3 Pr 0.3825 0.0000 0.2500
Pr4 Pr 0.3825 0.3825 0.7500
Pr5 Pr 0.6175 0.0000 0.7500
Pr6 Pr 0.6175 0.6175 0.2500
Ti1 Ti 0.0000 0.0000 0.0000
Ti2 Ti 0.0000 0.0000 0.5000
Sb1 Sb 0.0000 0.2533 0.7500
Sb2 Sb 0.0000 0.7467 0.2500
Sb3 Sb 0.2533 0.0000 0.7500
Sb4 Sb 0.2533 0.2533 0.2500
Sb5 Sb 0.3333 0.6667 0.0000
Sb6 Sb 0.3333 0.6667 0.5000
Sb7 Sb 0.6667 0.3333 0.0000
Sb8 Sb 0.6667 0.3333 0.5000
Sb9 Sb 0.7467 0.0000 0.2500
Sb10 Sb 0.7467 0.7467 0.7500
```

Principal peaks in the range 2θ from 5° to 70°, low angle first:
- 2θ = 28.29°, intensity 18, hkl 0 0 2
- 2θ = 28.80°, intensity 16, hkl 2 1 0
- 2θ = 32.17°, intensity 98, hkl 2 1 1
- 2θ = 32.75°, intensity 81, hkl 3 0 0
- 2θ = 34.15°, intensity 100, hkl 1 1 2
- 2θ = 42.23°, intensity 18, hkl 3 1 1
- 2θ = 48.04°, intensity 27, hkl 2 2 2
- 2θ = 50.62°, intensity 15, hkl 3 2 1
- 2θ = 52.59°, intensity 24, hkl 2 1 3
- 2θ = 58.51°, intensity 13, hkl 0 0 4
- 2θ = 63.97°, intensity 13, hkl 5 0 2
- 2θ = 68.70°, intensity 19, hkl 3 0 4

(2)
Diffraction record for TaCu3Te4. The PXRD pattern is simulated, not measured: it uses a cell relaxed with GGA-PBE and Cu Kα.

Structural model:
```
data_TaCu3Te4
_chemical_formula_sum 'Ta1 Cu3 Te4'
_cell_length_a 5.9876
_cell_length_b 5.9876
_cell_length_c 5.9876
_cell_angle_alpha 90.00
_cell_angle_beta 90.00
_cell_angle_gamma 90.00
_space_group_name_H-M_alt 'P 1'
_space_group_IT_number 1
_space_group_name_Hall 'P 1'
loop_
_atom_site_label
_atom_site_type_symbol
_atom_site_fract_x
_atom_site_fract_y
_atom_site_fract_z
Ta1 Ta 0.0000 0.0000 0.0000
Cu1 Cu 0.0000 0.0000 0.5000
Cu2 Cu 0.0000 0.5000 0.0000
Cu3 Cu 0.5000 0.0000 0.0000
Te1 Te 0.2572 0.2572 0.2572
Te2 Te 0.2572 0.7428 0.7428
Te3 Te 0.7428 0.2572 0.7428
Te4 Te 0.7428 0.7428 0.2572
```

Principal peaks in the range 2θ from 5° to 70°, low angle first:
- 2θ = 14.79°, intensity 46, hkl 1 0 0
- 2θ = 20.98°, intensity 10, hkl 1 1 0
- 2θ = 25.77°, intensity 83, hkl 1 1 1
- 2θ = 33.46°, intensity 37, hkl 2 1 0
- 2θ = 36.77°, intensity 5, hkl 2 1 1
- 2θ = 42.71°, intensity 100, hkl 2 2 0
- 2θ = 45.44°, intensity 17, hkl 3 0 0
- 2θ = 50.56°, intensity 38, hkl 3 1 1
- 2θ = 55.32°, intensity 4, hkl 3 2 0
- 2θ = 62.00°, intensity 16, hkl 4 0 0
- 2θ = 64.13°, intensity 12, hkl 3 2 2
- 2θ = 68.28°, intensity 15, hkl 3 3 1

(3)
Diffraction record for GdCu6. The PXRD pattern is simulated, not measured: it uses a cell relaxed with GGA-PBE and Cu Kα.

Structural model:
```
data_GdCu6
_chemical_formula_sum 'Gd4 Cu24'
_cell_length_a 8.0266
_cell_length_b 5.0577
_cell_length_c 9.9830
_cell_angle_alpha 90.00
_cell_angle_beta 90.00
_cell_angle_gamma 90.00
_space_group_name_H-M_alt 'P 1'
_space_group_IT_number 1
_space_group_name_Hall 'P 1'
loop_
_atom_site_label
_atom_site_type_symbol
_atom_site_fract_x
_atom_site_fract_y
_atom_site_fract_z
Gd1 Gd 0.2409 0.2500 0.0648
Gd2 Gd 0.2591 0.7500 0.5648
Gd3 Gd 0.7409 0.2500 0.4352
Gd4 Gd 0.7591 0.7500 0.9352
Cu1 Cu 0.0618 0.0071 0.3090
Cu2 Cu 0.0618 0.4929 0.3090
Cu3 Cu 0.0618 0.7500 0.0941
Cu4 Cu 0.1042 0.2500 0.5185
Cu5 Cu 0.1483 0.7500 0.8546
Cu6 Cu 0.1858 0.2500 0.7588
Cu7 Cu 0.3142 0.7500 0.2588
Cu8 Cu 0.3517 0.2500 0.3546
Cu9 Cu 0.3958 0.7500 0.0185
Cu10 Cu 0.4382 0.2500 0.5941
Cu11 Cu 0.4382 0.5071 0.8090
Cu12 Cu 0.4382 0.9929 0.8090
Cu13 Cu 0.5618 0.0071 0.1910
Cu14 Cu 0.5618 0.4929 0.1910
Cu15 Cu 0.5618 0.7500 0.4059
Cu16 Cu 0.6042 0.2500 0.9815
Cu17 Cu 0.6483 0.7500 0.6454
Cu18 Cu 0.6858 0.2500 0.7412
Cu19 Cu 0.8142 0.7500 0.2412
Cu20 Cu 0.8517 0.2500 0.1454
Cu21 Cu 0.8958 0.7500 0.4815
Cu22 Cu 0.9382 0.2500 0.9059
Cu23 Cu 0.9382 0.5071 0.6910
Cu24 Cu 0.9382 0.9929 0.6910
```

Principal peaks in the range 2θ from 5° to 70°, low angle first:
- 2θ = 32.20°, intensity 24, hkl 0 1 3
- 2θ = 35.50°, intensity 38, hkl 0 2 0
- 2θ = 37.75°, intensity 60, hkl 1 0 4
- 2θ = 39.14°, intensity 100, hkl 3 1 1
- 2θ = 39.43°, intensity 85, hkl 2 1 3
- 2θ = 39.97°, intensity 29, hkl 0 2 2
- 2θ = 42.25°, intensity 47, hkl 2 2 0
- 2θ = 43.25°, intensity 27, hkl 2 2 1
- 2θ = 46.14°, intensity 28, hkl 4 0 1
- 2θ = 46.48°, intensity 70, hkl 1 2 3
- 2θ = 46.89°, intensity 21, hkl 1 0 5
- 2θ = 66.18°, intensity 22, hkl 3 3 1

(4)
Diffraction record for Te2Mo2WSe4. The PXRD pattern is simulated, not measured: it uses a cell relaxed with GGA-PBE and Cu Kα.

Structural model:
```
data_Te2Mo2WSe4
_chemical_formula_sum 'Te2 Mo2 W1 Se4'
_cell_length_a 3.3985
_cell_length_b 3.3985
_cell_length_c 31.4183
_cell_angle_alpha 90.00
_cell_angle_beta 90.00
_cell_angle_gamma 120.00
_space_group_name_H-M_alt 'P 1'
_space_group_IT_number 1
_space_group_name_Hall 'P 1'
loop_
_atom_site_label
_atom_site_type_symbol
_atom_site_fract_x
_atom_site_fract_y
_atom_site_fract_z
Te1 Te 0.0000 0.0000 0.0000
Te2 Te 0.0000 0.0000 0.1193
Mo1 Mo 0.0000 0.0000 0.8283
Mo2 Mo 0.3333 0.6667 0.0597
W1 W 0.0000 0.0000 0.2910
Se1 Se 0.3333 0.6667 0.2383
Se2 Se 0.3333 0.6667 0.3436
Se3 Se 0.3333 0.6667 0.7758
Se4 Se 0.3333 0.6667 0.8808
```

Principal peaks in the range 2θ from 5° to 70°, low angle first:
- 2θ = 5.63°, intensity 100, hkl 0 0 2
- 2θ = 11.27°, intensity 80, hkl 0 0 4
- 2θ = 30.37°, intensity 29, hkl 1 0 0
- 2θ = 30.51°, intensity 14, hkl 1 0 1
- 2θ = 32.49°, intensity 12, hkl 0 1 4
- 2θ = 34.97°, intensity 42, hkl 1 0 6
- 2θ = 36.51°, intensity 53, hkl 0 1 7
- 2θ = 42.07°, intensity 22, hkl 1 0 10
- 2θ = 44.19°, intensity 39, hkl 0 1 11
- 2θ = 53.98°, intensity 29, hkl 1 1 0
- 2θ = 55.31°, intensity 8, hkl 1 1 4
- 2θ = 66.91°, intensity 9, hkl 2 0 7

(5)
Diffraction record for AcCd3. The PXRD pattern is simulated, not measured: it uses a cell relaxed with GGA-PBE and Cu Kα.

Structural model:
```
data_AcCd3
_chemical_formula_sum 'Ac2 Cd6'
_cell_length_a 7.1998
_cell_length_b 7.1998
_cell_length_c 5.1161
_cell_angle_alpha 90.00
_cell_angle_beta 90.00
_cell_angle_gamma 120.00
_space_group_name_H-M_alt 'P 1'
_space_group_IT_number 1
_space_group_name_Hall 'P 1'
loop_
_atom_site_label
_atom_site_type_symbol
_atom_site_fract_x
_atom_site_fract_y
_atom_site_fract_z
Ac1 Ac 0.3333 0.6667 0.2500
Ac2 Ac 0.6667 0.3333 0.7500
Cd1 Cd 0.1501 0.3002 0.7500
Cd2 Cd 0.1501 0.8499 0.7500
Cd3 Cd 0.3002 0.1501 0.2500
Cd4 Cd 0.6998 0.8499 0.7500
Cd5 Cd 0.8499 0.1501 0.2500
Cd6 Cd 0.8499 0.6998 0.2500
```

Principal peaks in the range 2θ from 5° to 70°, low angle first:
- 2θ = 22.48°, intensity 15, hkl 1 0 1
- 2θ = 24.73°, intensity 6, hkl 1 1 0
- 2θ = 28.63°, intensity 25, hkl 2 0 0
- 2θ = 33.66°, intensity 100, hkl 2 0 1
- 2θ = 35.08°, intensity 21, hkl 0 0 2
- 2θ = 38.19°, intensity 6, hkl 2 1 0
- 2θ = 45.89°, intensity 14, hkl 2 0 2
- 2θ = 50.72°, intensity 19, hkl 2 2 0
- 2θ = 56.14°, intensity 5, hkl 3 1 1
- 2θ = 62.03°, intensity 17, hkl 2 0 3
- 2θ = 62.26°, intensity 14, hkl 4 0 1
- 2θ = 63.16°, intensity 19, hkl 2 2 2